[1]
Diffraction record for AcGe2BiO8. The XRD peak list is theoretical, not measured: it uses a structure optimized by DFT (GGA-PBE) and copper Kα.

Crystal structure
Unit cell a=6.186 b=6.186 c=6.186 alpha=106.50 beta=106.50 gamma=115.60
Positions (direct):
1 Ac 0.000 0.000 0.000
2 Ge 0.500 0.500 0.000
3 Ge 0.750 0.250 0.500
4 Bi 0.250 0.750 0.500
5 O 0.327 0.141 0.814
6 O 0.327 0.513 0.186
7 O 0.389 0.060 0.329
8 O 0.487 0.673 0.814
9 O 0.730 0.060 0.671
10 O 0.859 0.673 0.186
11 O 0.940 0.270 0.329
12 O 0.940 0.611 0.671

Largest 10 diffraction maxima, by angle, 10° ≤ 2θ ≤ 80°:
2θ/deg  d [Å]  Rel. int.
18.0  4.923  37
24.0  3.701  100
30.2  2.959  14
32.1  2.789  77
34.3  2.617  27
47.6  1.909  64
49.2  1.851  16
55.5  1.655  16
60.0  1.542  19
70.9  1.329  16



[2]
Diffraction record for Ac2GeBiO6. The XRD peak list is theoretical, not measured: it uses a structure optimized by DFT (GGA-PBE) and copper Kα.

Crystal structure
Unit cell a=5.725 b=5.725 c=5.222 alpha=90.00 beta=90.00 gamma=90.00
Positions (direct):
1 Ac 0.000 0.500 0.000
2 Ac 0.500 0.000 0.000
3 Ge 0.000 0.000 0.594
4 Bi 0.500 0.500 0.539
5 O 0.000 0.000 0.249
6 O 0.225 0.225 0.717
7 O 0.225 0.775 0.717
8 O 0.500 0.500 0.093
9 O 0.775 0.225 0.717
10 O 0.775 0.775 0.717

Largest 10 diffraction maxima, by angle, 10° ≤ 2θ ≤ 80°:
2θ/deg  d [Å]  Rel. int.
17.0  5.222  8
27.9  3.199  100
31.2  2.863  37
34.3  2.611  12
44.8  2.024  19
47.1  1.929  26
53.6  1.711  34
57.6  1.599  22
72.3  1.306  8
75.8  1.255  16



[3]
Diffraction record for Ac6Ge3BiS2. The XRD peak list is theoretical, not measured: it uses a structure optimized by DFT (GGA-PBE) and copper Kα.

Crystal structure
Unit cell a=10.225 b=10.225 c=9.224 alpha=102.93 beta=102.93 gamma=25.70
Positions (direct):
1 Ac 0.002 0.002 0.266
2 Ac 0.327 0.327 0.913
3 Ac 0.333 0.333 0.417
4 Ac 0.667 0.667 0.583
5 Ac 0.673 0.673 0.087
6 Ac 0.998 0.998 0.734
7 Ge 0.166 0.166 0.829
8 Ge 0.500 0.500 0.500
9 Ge 0.834 0.834 0.171
10 Bi 0.500 0.500 0.000
11 S 0.169 0.169 0.338
12 S 0.831 0.831 0.662

Largest 10 diffraction maxima, by angle, 10° ≤ 2θ ≤ 80°:
2θ/deg  d [Å]  Rel. int.
23.7  3.755  19
23.9  3.720  19
27.6  3.237  100
39.1  2.306  13
39.4  2.288  51
39.6  2.274  13
48.5  1.878  14
49.0  1.860  14
56.9  1.619  13
64.4  1.447  18



[4]
Diffraction record for Ac8GeBi3Te4. The XRD peak list is theoretical, not measured: it uses a structure optimized by DFT (GGA-PBE) and copper Kα.

Crystal structure
Unit cell a=9.557 b=9.557 c=9.557 alpha=60.28 beta=60.28 gamma=60.28
Positions (direct):
1 Ac 0.249 0.249 0.249
2 Ac 0.260 0.738 0.738
3 Ac 0.262 0.262 0.740
4 Ac 0.262 0.740 0.262
5 Ac 0.738 0.260 0.738
6 Ac 0.738 0.738 0.260
7 Ac 0.740 0.262 0.262
8 Ac 0.751 0.751 0.751
9 Ge 0.500 0.500 0.500
10 Bi 0.000 0.000 0.500
11 Bi 0.000 0.500 0.000
12 Bi 0.500 0.000 0.000
13 Te 0.000 0.000 0.000
14 Te 0.000 0.500 0.500
15 Te 0.500 0.000 0.500
16 Te 0.500 0.500 0.000

Largest 10 diffraction maxima, by angle, 10° ≤ 2θ ≤ 80°:
2θ/deg  d [Å]  Rel. int.
26.3  3.386  100
37.5  2.399  40
37.6  2.389  39
46.4  1.958  22
46.7  1.947  7
54.2  1.693  14
61.1  1.517  19
61.3  1.512  18
67.6  1.385  7
67.7  1.383  14



[5]
Diffraction record for Ac4Bi5H. The XRD peak list is theoretical, not measured: it uses a structure optimized by DFT (GGA-PBE) and copper Kα.

Crystal structure
Unit cell a=9.072 b=9.072 c=9.072 alpha=149.29 beta=102.23 gamma=85.90
Positions (direct):
1 Ac 0.181 0.181 0.000
2 Ac 0.300 0.500 0.800
3 Ac 0.700 0.500 0.200
4 Ac 0.819 0.819 0.000
5 Bi 0.000 0.500 0.500
6 Bi 0.154 0.811 0.343
7 Bi 0.468 0.811 0.657
8 Bi 0.532 0.189 0.343
9 Bi 0.846 0.189 0.657
10 H 0.500 0.500 0.000

Largest 10 diffraction maxima, by angle, 10° ≤ 2θ ≤ 80°:
2θ/deg  d [Å]  Rel. int.
24.4  3.650  44
27.4  3.256  100
33.0  2.718  77
37.4  2.402  25
40.7  2.215  21
41.5  2.176  29
45.2  2.007  18
56.1  1.640  19
57.1  1.613  24
64.2  1.450  18



[6]
Diffraction record for AcBiH. The XRD peak list is theoretical, not measured: it uses a structure optimized by DFT (GGA-PBE) and copper Kα.

Crystal structure
Unit cell a=9.063 b=6.593 c=10.088 alpha=61.68 beta=39.82 gamma=78.50
Positions (direct):
1 Ac 0.203 0.797 0.398
2 Ac 0.648 0.852 0.453
3 Ac 0.797 0.203 0.602
4 Ac 0.852 0.648 0.047
5 Bi 0.226 0.312 0.012
6 Bi 0.238 0.800 0.024
7 Bi 0.312 0.226 0.450
8 Bi 0.800 0.238 0.938
9 H 0.493 0.704 0.381
10 H 0.704 0.493 0.421
11 H 0.829 0.869 0.546
12 H 0.869 0.829 0.757

Largest 10 diffraction maxima, by angle, 10° ≤ 2θ ≤ 80°:
2θ/deg  d [Å]  Rel. int.
21.9  4.050  34
26.5  3.358  45
28.0  3.191  29
30.7  2.912  49
31.5  2.836  37
31.9  2.809  24
32.3  2.775  100
33.7  2.663  30
40.7  2.218  31
47.0  1.935  20



[7]
Diffraction record for AcBiH. The XRD peak list is theoretical, not measured: it uses a structure optimized by DFT (GGA-PBE) and copper Kα.

Crystal structure
Unit cell a=4.215 b=4.215 c=5.177 alpha=90.00 beta=90.00 gamma=120.00
Positions (direct):
1 Ac 0.000 0.000 0.000
2 Bi 0.667 0.333 0.500
3 H 0.333 0.667 0.000

Largest 10 diffraction maxima, by angle, 10° ≤ 2θ ≤ 80°:
2θ/deg  d [Å]  Rel. int.
24.4  3.651  27
30.0  2.983  100
34.7  2.588  15
42.9  2.109  39
53.2  1.721  21
56.3  1.634  24
59.2  1.560  15
70.7  1.333  18
75.9  1.254  8
78.6  1.217  9



[8]
Diffraction record for Ac4Bi2H9. The XRD peak list is theoretical, not measured: it uses a structure optimized by DFT (GGA-PBE) and copper Kα.

Crystal structure
Unit cell a=4.090 b=4.090 c=18.370 alpha=90.00 beta=90.00 gamma=120.00
Positions (direct):
1 Ac 0.333 0.667 0.098
2 Ac 0.333 0.667 0.409
3 Ac 0.667 0.333 0.591
4 Ac 0.667 0.333 0.902
5 Bi 0.333 0.667 0.753
6 Bi 0.667 0.333 0.247
7 H 0.000 0.000 0.084
8 H 0.000 0.000 0.373
9 H 0.000 0.000 0.500
10 H 0.000 0.000 0.627
11 H 0.000 0.000 0.916
12 H 0.333 0.667 0.548
13 H 0.333 0.667 0.959
14 H 0.667 0.333 0.041
15 H 0.667 0.333 0.452

Largest 10 diffraction maxima, by angle, 10° ≤ 2θ ≤ 80°:
2θ/deg  d [Å]  Rel. int.
25.1  3.542  20
29.1  3.065  100
38.9  2.316  12
44.3  2.045  19
51.7  1.769  17
53.9  1.701  34
60.4  1.532  5
70.4  1.338  8
72.2  1.308  13
77.9  1.226  8



[9]
Diffraction record for Ac4Hg3Bi8. The XRD peak list is theoretical, not measured: it uses a structure optimized by DFT (GGA-PBE) and copper Kα.

Crystal structure
Unit cell a=4.863 b=4.863 c=21.076 alpha=90.00 beta=90.00 gamma=90.00
Positions (direct):
1 Ac 0.000 0.500 0.118
2 Ac 0.000 0.500 0.627
3 Ac 0.500 0.000 0.373
4 Ac 0.500 0.000 0.882
5 Hg 0.000 0.000 0.000
6 Hg 0.000 0.000 0.500
7 Hg 0.500 0.500 0.500
8 Bi 0.000 0.000 0.247
9 Bi 0.000 0.000 0.753
10 Bi 0.000 0.500 0.395
11 Bi 0.000 0.500 0.912
12 Bi 0.500 0.000 0.088
13 Bi 0.500 0.000 0.605
14 Bi 0.500 0.500 0.248
15 Bi 0.500 0.500 0.752

Largest 10 diffraction maxima, by angle, 10° ≤ 2θ ≤ 80°:
2θ/deg  d [Å]  Rel. int.
24.9  3.573  5
25.4  3.513  5
31.1  2.879  100
34.0  2.634  13
37.0  2.431  37
51.1  1.787  17
53.3  1.719  13
59.1  1.564  7
63.0  1.476  28
64.8  1.439  11



[10]
Diffraction record for AcHgBi3. The XRD peak list is theoretical, not measured: it uses a structure optimized by DFT (GGA-PBE) and copper Kα.

Crystal structure
Unit cell a=11.991 b=11.991 c=11.991 alpha=147.95 beta=147.95 gamma=45.96
Positions (direct):
1 Ac 0.212 0.212 0.000
2 Ac 0.788 0.788 0.000
3 Hg 0.250 0.750 0.500
4 Hg 0.500 0.500 0.000
5 Bi 0.358 0.112 0.754
6 Bi 0.358 0.604 0.246
7 Bi 0.396 0.642 0.754
8 Bi 0.679 0.179 0.500
9 Bi 0.821 0.321 0.500
10 Bi 0.888 0.642 0.246

Largest 10 diffraction maxima, by angle, 10° ≤ 2θ ≤ 80°:
2θ/deg  d [Å]  Rel. int.
14.0  6.341  51
24.2  3.677  25
26.9  3.310  59
28.1  3.170  72
30.5  2.934  30
31.4  2.845  100
32.6  2.747  74
36.5  2.459  70
41.9  2.156  61
65.2  1.431  26